For Li3LaAu3, DFT lattice parameters and positions (PBE) gives the theoretical powder diffraction line list in this record (Cu Ka).

Top 10 peaks for 2θ from 10° to 90°, sorted by position:
2θ = 26.4°, I = 26
2θ = 29.6°, I = 100
2θ = 32.5°, I = 61
2θ = 46.7°, I = 15
2θ = 48.7°, I = 26
2θ = 50.7°, I = 36
2θ = 54.4°, I = 17
2θ = 63.2°, I = 24
2θ = 76.0°, I = 22
2θ = 80.6°, I = 11

Cell and atoms:
Cell: 6.743 6.743 6.743 Å, 90.00 90.00 90.00°
Fractional positions:
Li (0.000, 0.250, 0.500)
Li (0.000, 0.750, 0.500)
Li (0.250, 0.500, 0.000)
Li (0.500, 0.000, 0.250)
Li (0.500, 0.000, 0.750)
Li (0.750, 0.500, 0.000)
La (0.000, 0.000, 0.000)
La (0.500, 0.500, 0.500)
Au (0.000, 0.500, 0.250)
Au (0.000, 0.500, 0.750)
Au (0.250, 0.000, 0.500)
Au (0.500, 0.250, 0.000)
Au (0.500, 0.750, 0.000)
Au (0.750, 0.000, 0.500)

For Li2La3Au9, DFT lattice parameters and positions (PBE) gives the theoretical powder diffraction line list in this record (Cu Ka).

Top 10 peaks for 2θ from 10° to 90°, sorted by position:
2θ = 22.4°, I = 37
2θ = 26.1°, I = 38
2θ = 31.2°, I = 71
2θ = 32.9°, I = 100
2θ = 33.4°, I = 88
2θ = 34.7°, I = 43
2θ = 40.6°, I = 43
2θ = 42.2°, I = 58
2θ = 42.5°, I = 54
2θ = 63.1°, I = 36

Cell and atoms:
Cell: 8.888 8.888 8.888 Å, 152.12 107.00 79.85°
Fractional positions:
Li (0.195, 0.000, 0.195)
Li (0.805, 0.000, 0.805)
La (0.206, 0.206, 0.000)
La (0.500, 0.500, 0.000)
La (0.794, 0.794, 0.000)
Au (0.000, 0.500, 0.500)
Au (0.071, 0.370, 0.702)
Au (0.217, 0.849, 0.368)
Au (0.332, 0.630, 0.702)
Au (0.481, 0.849, 0.632)
Au (0.519, 0.151, 0.368)
Au (0.668, 0.370, 0.298)
Au (0.783, 0.151, 0.632)
Au (0.929, 0.630, 0.298)

For Li3La2Au4, DFT lattice parameters and positions (PBE) gives the theoretical powder diffraction line list in this record (Cu Ka).

Top 10 peaks for 2θ from 10° to 90°, sorted by position:
2θ = 25.0°, I = 72
2θ = 25.1°, I = 83
2θ = 31.6°, I = 51
2θ = 31.8°, I = 36
2θ = 33.6°, I = 47
2θ = 33.8°, I = 85
2θ = 35.8°, I = 76
2θ = 37.3°, I = 100
2θ = 51.3°, I = 28
2θ = 63.0°, I = 24

Cell and atoms:
Cell: 8.507 8.507 7.934 Å, 90.00 90.00 138.22°
Fractional positions:
Li (0.000, 0.000, 0.000)
Li (0.037, 0.463, 0.250)
Li (0.463, 0.037, 0.750)
Li (0.500, 0.500, 0.500)
Li (0.537, 0.963, 0.250)
Li (0.963, 0.537, 0.750)
La (0.117, 0.883, 0.418)
La (0.383, 0.617, 0.918)
La (0.617, 0.383, 0.082)
La (0.883, 0.117, 0.582)
Au (0.188, 0.812, 0.041)
Au (0.206, 0.294, 0.250)
Au (0.294, 0.206, 0.750)
Au (0.312, 0.688, 0.541)
Au (0.688, 0.312, 0.459)
Au (0.706, 0.794, 0.250)
Au (0.794, 0.706, 0.750)
Au (0.812, 0.188, 0.959)

For Li15La6Au8, DFT lattice parameters and positions (PBE) gives the theoretical powder diffraction line list in this record (Cu Ka).

Top 10 peaks for 2θ from 10° to 90°, sorted by position:
2θ = 11.2°, I = 34
2θ = 21.5°, I = 41
2θ = 22.4°, I = 27
2θ = 28.3°, I = 44
2θ = 33.9°, I = 17
2θ = 37.0°, I = 100
2θ = 51.1°, I = 14
2θ = 53.4°, I = 16
2θ = 54.7°, I = 17
2θ = 66.8°, I = 31

Cell and atoms:
Cell: 9.709 9.709 9.709 Å, 60.00 60.00 60.00°
Fractional positions:
Li (0.000, 0.000, 0.000)
Li (0.000, 0.000, 0.500)
Li (0.000, 0.500, 0.000)
Li (0.000, 0.500, 0.500)
Li (0.032, 0.323, 0.323)
Li (0.323, 0.032, 0.323)
Li (0.323, 0.323, 0.032)
Li (0.323, 0.323, 0.323)
Li (0.500, 0.000, 0.000)
Li (0.500, 0.000, 0.500)
Li (0.500, 0.500, 0.000)
Li (0.677, 0.677, 0.677)
Li (0.677, 0.677, 0.968)
Li (0.677, 0.968, 0.677)
Li (0.968, 0.677, 0.677)
La (0.261, 0.261, 0.739)
La (0.261, 0.739, 0.261)
La (0.261, 0.739, 0.739)
La (0.739, 0.261, 0.261)
La (0.739, 0.261, 0.739)
La (0.739, 0.739, 0.261)
Au (0.134, 0.134, 0.134)
Au (0.134, 0.134, 0.599)
Au (0.134, 0.599, 0.134)
Au (0.401, 0.866, 0.866)
Au (0.599, 0.134, 0.134)
Au (0.866, 0.401, 0.866)
Au (0.866, 0.866, 0.401)
Au (0.866, 0.866, 0.866)

For LiLa2Au6, DFT lattice parameters and positions (PBE) gives the theoretical powder diffraction line list in this record (Cu Ka).

Top 10 peaks for 2θ from 10° to 90°, sorted by position:
2θ = 22.7°, I = 7
2θ = 32.2°, I = 30
2θ = 32.5°, I = 20
2θ = 36.2°, I = 100
2θ = 36.4°, I = 11
2θ = 46.4°, I = 19
2θ = 57.4°, I = 19
2θ = 60.4°, I = 9
2θ = 67.5°, I = 14
2θ = 69.8°, I = 14

Cell and atoms:
Cell: 6.420 6.420 5.513 Å, 90.00 90.00 120.00°
Fractional positions:
Li (0.000, 0.000, 0.000)
La (0.333, 0.667, 0.812)
La (0.667, 0.333, 0.188)
Au (0.177, 0.353, 0.301)
Au (0.177, 0.823, 0.301)
Au (0.353, 0.177, 0.699)
Au (0.647, 0.823, 0.301)
Au (0.823, 0.177, 0.699)
Au (0.823, 0.647, 0.699)

For Li2La3Au2, DFT lattice parameters and positions (PBE) gives the theoretical powder diffraction line list in this record (Cu Ka).

Top 10 peaks for 2θ from 10° to 90°, sorted by position:
2θ = 19.2°, I = 65
2θ = 29.6°, I = 100
2θ = 31.0°, I = 72
2θ = 32.5°, I = 77
2θ = 35.0°, I = 80
2θ = 37.3°, I = 65
2θ = 37.8°, I = 46
2θ = 46.6°, I = 26
2θ = 50.6°, I = 44
2θ = 61.2°, I = 31

Cell and atoms:
Cell: 3.894 4.763 19.536 Å, 90.00 90.00 90.00°
Fractional positions:
Li (0.000, 0.000, 0.067)
Li (0.000, 0.000, 0.933)
Li (0.500, 0.500, 0.433)
Li (0.500, 0.500, 0.567)
La (0.000, 0.000, 0.500)
La (0.000, 0.500, 0.307)
La (0.000, 0.500, 0.693)
La (0.500, 0.000, 0.193)
La (0.500, 0.000, 0.807)
La (0.500, 0.500, 0.000)
Au (0.000, 0.500, 0.133)
Au (0.000, 0.500, 0.867)
Au (0.500, 0.000, 0.367)
Au (0.500, 0.000, 0.633)

For LiLa3Au2, DFT lattice parameters and positions (PBE) gives the theoretical powder diffraction line list in this record (Cu Ka).

Top 10 peaks for 2θ from 10° to 90°, sorted by position:
2θ = 22.2°, I = 57
2θ = 26.6°, I = 45
2θ = 26.7°, I = 38
2θ = 29.2°, I = 22
2θ = 30.4°, I = 65
2θ = 36.0°, I = 100
2θ = 38.0°, I = 75
2θ = 40.8°, I = 57
2θ = 56.9°, I = 23
2θ = 65.3°, I = 21

Cell and atoms:
Cell: 8.865 8.865 8.865 Å, 135.74 64.55 135.52°
Fractional positions:
Li (0.250, 0.250, 0.000)
Li (0.750, 0.750, 0.000)
La (0.181, 0.218, 0.400)
La (0.250, 0.750, 0.500)
La (0.319, 0.718, 0.037)
La (0.681, 0.282, 0.963)
La (0.750, 0.250, 0.500)
La (0.819, 0.782, 0.600)
Au (0.119, 0.774, 0.893)
Au (0.381, 0.274, 0.654)
Au (0.619, 0.726, 0.346)
Au (0.881, 0.226, 0.107)

For LiLa2Au7, DFT lattice parameters and positions (PBE) gives the theoretical powder diffraction line list in this record (Cu Ka).

Top 10 peaks for 2θ from 10° to 90°, sorted by position:
2θ = 18.1°, I = 21
2θ = 30.3°, I = 13
2θ = 31.6°, I = 100
2θ = 36.7°, I = 89
2θ = 40.1°, I = 19
2θ = 52.9°, I = 60
2θ = 62.9°, I = 37
2θ = 66.1°, I = 19
2θ = 86.7°, I = 14
2θ = 89.5°, I = 25

Cell and atoms:
Cell: 6.925 6.925 6.925 Å, 60.00 60.00 60.00°
Fractional positions:
Li (0.000, 0.000, 0.000)
La (0.250, 0.250, 0.250)
La (0.750, 0.750, 0.750)
Au (0.231, 0.231, 0.769)
Au (0.231, 0.769, 0.231)
Au (0.231, 0.769, 0.769)
Au (0.500, 0.500, 0.500)
Au (0.769, 0.231, 0.231)
Au (0.769, 0.231, 0.769)
Au (0.769, 0.769, 0.231)

Repeat the eighth record exactly.
For LiLa2Au7, DFT lattice parameters and positions (PBE) gives the theoretical powder diffraction line list in this record (Cu Ka).

Top 10 peaks for 2θ from 10° to 90°, sorted by position:
2θ = 18.1°, I = 21
2θ = 30.3°, I = 13
2θ = 31.6°, I = 100
2θ = 36.7°, I = 89
2θ = 40.1°, I = 19
2θ = 52.9°, I = 60
2θ = 62.9°, I = 37
2θ = 66.1°, I = 19
2θ = 86.7°, I = 14
2θ = 89.5°, I = 25

Cell and atoms:
Cell: 6.925 6.925 6.925 Å, 60.00 60.00 60.00°
Fractional positions:
Li (0.000, 0.000, 0.000)
La (0.250, 0.250, 0.250)
La (0.750, 0.750, 0.750)
Au (0.231, 0.231, 0.769)
Au (0.231, 0.769, 0.231)
Au (0.231, 0.769, 0.769)
Au (0.500, 0.500, 0.500)
Au (0.769, 0.231, 0.231)
Au (0.769, 0.231, 0.769)
Au (0.769, 0.769, 0.231)